Record 1
Theoretical powder X-ray diffraction pattern of K2MoH2C2O8 for Cu Kα (weighted mean of Kα1 and Kα2), from the PBE+U geometry in the Materials Project.

Most intense lines, 2θ = 10–90°, sorted by position:
(1 0 0), 10.03°, d = 8.823 Å, I = 100
(0 2 0), 13.68°, d = 6.475 Å, I = 54
(1 2 0), 16.99°, d = 5.220 Å, I = 56
(2 0 0), 20.15°, d = 4.407 Å, I = 18
(0 1 2), 24.28°, d = 3.665 Å, I = 29
(2 1 1), 24.96°, d = 3.567 Å, I = 18
(1 1 -2), 25.69°, d = 3.467 Å, I = 25
(0 2 2), 27.10°, d = 3.291 Å, I = 37
(2 3 0), 28.94°, d = 3.085 Å, I = 18
(1 4 0), 29.39°, d = 3.039 Å, I = 25
(3 1 0), 31.22°, d = 2.865 Å, I = 39
(0 1 4), 48.14°, d = 1.890 Å, I = 19

Atomic structure:
```
data_K2MoH2C2O8
_cell_length_a 8.844
_cell_length_b 12.950
_cell_length_c 7.661
_cell_angle_alpha 90.00
_cell_angle_beta 93.97
_cell_angle_gamma 90.00
_symmetry_space_group_name_H-M 'P 1 21/c 1'
_symmetry_Int_Tables_number 14
_symmetry_space_group_name_Hall '-P 2ybc'
loop_
_atom_site_label
_atom_site_type_symbol
_atom_site_fract_x
_atom_site_fract_y
_atom_site_fract_z
K1 K 0.105 0.112 0.186
K2 K 0.361 0.014 0.725
Mo1 Mo 0.445 0.235 0.439
H1 H 0.005 0.615 0.934
H2 H 0.046 0.120 0.762
C1 C 0.208 0.748 0.572
C2 C 0.263 0.636 0.533
O1 O 0.041 0.073 0.662
O2 O 0.069 0.735 0.081
O3 O 0.168 0.566 0.501
O4 O 0.277 0.191 0.923
O5 O 0.314 0.685 0.089
O6 O 0.388 0.108 0.379
O7 O 0.407 0.626 0.530
O8 O 0.477 0.221 0.677
```



Record 2
Theoretical powder X-ray diffraction pattern of K2Mo2H4C4O15 for Cu Kα (weighted mean of Kα1 and Kα2), from the PBE+U geometry in the Materials Project.

Most intense lines, 2θ = 10–90°, sorted by position:
(1 0 0), 11.59°, d = 7.636 Å, I = 42
(0 1 1), 14.38°, d = 6.160 Å, I = 25
(1 1 -1), 17.82°, d = 4.976 Å, I = 100
(1 2 -1), 20.73°, d = 4.285 Å, I = 15
(1 2 1), 21.94°, d = 4.051 Å, I = 36
(0 4 0), 24.49°, d = 3.635 Å, I = 16
(2 1 -1), 26.52°, d = 3.362 Å, I = 19
(1 4 0), 27.17°, d = 3.282 Å, I = 30
(1 0 -2), 27.82°, d = 3.207 Å, I = 16
(1 1 -2), 28.48°, d = 3.134 Å, I = 19
(2 2 1), 30.39°, d = 2.941 Å, I = 37
(1 2 -3), 42.51°, d = 2.127 Å, I = 30

Atomic structure:
```
data_K2Mo2H4C4O15
_cell_length_a 7.663
_cell_length_b 14.541
_cell_length_c 6.824
_cell_angle_alpha 90.00
_cell_angle_beta 94.82
_cell_angle_gamma 90.00
_symmetry_space_group_name_H-M 'P 1 21/c 1'
_symmetry_Int_Tables_number 14
_symmetry_space_group_name_Hall '-P 2ybc'
loop_
_atom_site_label
_atom_site_type_symbol
_atom_site_fract_x
_atom_site_fract_y
_atom_site_fract_z
K1 K 0.193 0.138 0.360
Mo1 Mo 0.104 0.607 0.625
H1 H 0.257 0.679 0.272
H2 H 0.277 0.568 0.261
C1 C 0.463 0.676 0.761
C2 C 0.486 0.570 0.753
O1 O 0.000 0.000 0.000
O2 O 0.037 0.195 0.956
O3 O 0.057 0.589 0.866
O4 O 0.210 0.619 0.316
O5 O 0.306 0.704 0.697
O6 O 0.348 0.527 0.677
O7 O 0.374 0.034 0.681
O8 O 0.417 0.227 0.675
```